No. 1
The following is a calculated powder diffractogram of LiNbSO. It was derived from a DFT-relaxed cell (GGA-PBE, OQMD), using copper Kα.

Largest 6 diffraction maxima, by intensity, 10° ≤ 2θ ≤ 80°:
- 2θ = 14.63°, rel. 1000
- 2θ = 36.41°, rel. 547
- 2θ = 44.96°, rel. 460
- 2θ = 33.15°, rel. 285
- 2θ = 40.16°, rel. 210
- 2θ = 59.23°, rel. 190

Structural model:
Unit cell a=3.1201 b=3.1201 c=12.1129 alpha=90.00 beta=90.00 gamma=120.00
Atoms (fractional coordinates):
Li 0.0000 0.0000 0.0000
Li 0.0000 0.0000 0.5000
Nb 0.0000 0.0000 0.2239
Nb 0.0000 0.0000 0.7761
S 0.3333 0.6667 0.6400
S 0.6667 0.3333 0.3600
O 0.3333 0.6667 0.8845
O 0.6667 0.3333 0.1155

---

No. 2
The following is a calculated powder diffractogram of ZnCu5B2. It was derived from a DFT-relaxed cell (GGA-PBE, OQMD), using copper Kα.

Largest 6 diffraction maxima, by intensity, 10° ≤ 2θ ≤ 80°:
- 2θ = 46.22°, rel. 1000
- 2θ = 27.81°, rel. 224
- 2θ = 32.23°, rel. 109
- 2θ = 54.81°, rel. 101
- 2θ = 67.39°, rel. 98
- 2θ = 67.51°, rel. 49

Structural model:
Unit cell a=3.9303 b=3.9303 c=5.5498 alpha=90.00 beta=90.00 gamma=90.00
Atoms (fractional coordinates):
Zn 0.0000 0.0000 0.0000
Cu 0.0000 0.5000 0.2536
Cu 0.0000 0.5000 0.7464
Cu 0.5000 0.0000 0.2536
Cu 0.5000 0.0000 0.7464
Cu 0.5000 0.5000 0.5000
B 0.0000 0.0000 0.5000
B 0.5000 0.5000 0.0000

---

No. 3
The following is a calculated powder diffractogram of PrTmPO. It was derived from a DFT-relaxed cell (GGA-PBE, OQMD), using copper Kα.

Largest 6 diffraction maxima, by intensity, 10° ≤ 2θ ≤ 80°:
- 2θ = 30.42°, rel. 1000
- 2θ = 28.22°, rel. 681
- 2θ = 27.43°, rel. 576
- 2θ = 45.42°, rel. 539
- 2θ = 53.89°, rel. 440
- 2θ = 26.17°, rel. 411

Structural model:
Unit cell a=13.2020 b=13.2020 c=13.2020 alpha=17.40 beta=17.40 gamma=17.40
Atoms (fractional coordinates):
Pr 0.1275 0.1275 0.1275
Pr 0.8725 0.8725 0.8725
Tm 0.2939 0.2939 0.2939
Tm 0.7061 0.7061 0.7061
P 0.4075 0.4075 0.4075
P 0.5925 0.5925 0.5925
O 0.1898 0.1898 0.1898
O 0.8102 0.8102 0.8102

---

No. 4
The following is a calculated powder diffractogram of K2SmP2S7. It was derived from a DFT-relaxed cell (GGA-PBE, OQMD), using copper Kα.

Largest 6 diffraction maxima, by intensity, 10° ≤ 2θ ≤ 80°:
- 2θ = 10.11°, rel. 1000
- 2θ = 26.41°, rel. 198
- 2θ = 31.46°, rel. 186
- 2θ = 20.87°, rel. 180
- 2θ = 13.68°, rel. 178
- 2θ = 34.92°, rel. 169

Structural model:
Unit cell a=11.9028 b=11.9028 c=8.7869 alpha=95.11 beta=95.11 gamma=32.96
Atoms (fractional coordinates):
K 0.0528 0.0528 0.2046
K 0.1830 0.1861 0.6251
K 0.8139 0.8170 0.3749
K 0.9472 0.9472 0.7954
Sm 0.3260 0.3537 0.9640
Sm 0.6463 0.6740 0.0360
P 0.2553 0.1952 0.2117
P 0.4810 0.4864 0.1164
P 0.5136 0.5190 0.8836
P 0.8048 0.7447 0.7883
S 0.0786 0.5423 0.6853
S 0.1822 0.6818 0.1200
S 0.3074 0.1230 0.9797
S 0.3176 0.3085 0.2747
S 0.3182 0.8178 0.8800
S 0.4397 0.4468 0.7365
S 0.4577 0.9214 0.3147
S 0.5532 0.5603 0.2635
S 0.6072 0.0348 0.7277
S 0.6725 0.1895 0.1157
S 0.6915 0.6824 0.7253
S 0.8105 0.3275 0.8843
S 0.8770 0.6926 0.0203
S 0.9652 0.3928 0.2723

---

No. 5
The following is a calculated powder diffractogram of Tl5Cd9. It was derived from a DFT-relaxed cell (GGA-PBE, OQMD), using copper Kα.

Largest 6 diffraction maxima, by intensity, 10° ≤ 2θ ≤ 80°:
- 2θ = 34.71°, rel. 1000
- 2θ = 34.57°, rel. 809
- 2θ = 34.02°, rel. 646
- 2θ = 32.06°, rel. 542
- 2θ = 28.31°, rel. 349
- 2θ = 29.90°, rel. 317

Structural model:
Unit cell a=9.1288 b=9.1288 c=15.6780 alpha=90.00 beta=90.00 gamma=120.00
Atoms (fractional coordinates):
Tl 0.0000 0.0000 0.0000
Tl 0.0000 0.2417 0.1891
Tl 0.0000 0.2417 0.8109
Tl 0.0000 0.6143 0.3167
Tl 0.0000 0.6143 0.6833
Tl 0.2417 0.0000 0.1891
Tl 0.2417 0.0000 0.8109
Tl 0.3333 0.6667 0.5000
Tl 0.3857 0.3857 0.3167
Tl 0.3857 0.3857 0.6833
Tl 0.6143 0.0000 0.3167
Tl 0.6143 0.0000 0.6833
Tl 0.6667 0.3333 0.5000
Tl 0.7583 0.7583 0.1891
Tl 0.7583 0.7583 0.8109
Cd 0.0000 0.0000 0.3450
Cd 0.0000 0.0000 0.6550
Cd 0.0000 0.3205 0.4004
Cd 0.0000 0.3205 0.5996
Cd 0.0000 0.5994 0.1181
Cd 0.0000 0.5994 0.8819
Cd 0.0000 0.7591 0.5000
Cd 0.1797 0.4512 0.0000
Cd 0.2409 0.2409 0.5000
Cd 0.2714 0.8203 0.0000
Cd 0.3205 0.0000 0.4004
Cd 0.3205 0.0000 0.5996
Cd 0.3333 0.6667 0.2008
Cd 0.3333 0.6667 0.7992
Cd 0.4006 0.4006 0.1181
Cd 0.4006 0.4006 0.8819
Cd 0.4512 0.1797 0.0000
Cd 0.5488 0.7286 0.0000
Cd 0.5994 0.0000 0.1181
Cd 0.5994 0.0000 0.8819
Cd 0.6667 0.3333 0.2008
Cd 0.6667 0.3333 0.7992
Cd 0.6795 0.6795 0.4004
Cd 0.6795 0.6795 0.5996
Cd 0.7286 0.5488 0.0000
Cd 0.7591 0.0000 0.5000
Cd 0.8203 0.2714 0.0000

---

No. 6
The following is a calculated powder diffractogram of Dy2Ga2CuAg. It was derived from a DFT-relaxed cell (GGA-PBE, OQMD), using copper Kα.

Largest 6 diffraction maxima, by intensity, 10° ≤ 2θ ≤ 80°:
- 2θ = 34.41°, rel. 1000
- 2θ = 40.27°, rel. 587
- 2θ = 53.98°, rel. 273
- 2θ = 69.45°, rel. 253
- 2θ = 67.72°, rel. 225
- 2θ = 22.93°, rel. 149

Structural model:
Unit cell a=4.4788 b=4.4788 c=7.0395 alpha=90.00 beta=90.00 gamma=120.00
Atoms (fractional coordinates):
Dy 0.0000 0.0000 0.0000
Dy 0.0000 0.0000 0.4851
Ga 0.3333 0.6667 0.2591
Ga 0.3333 0.6667 0.7206
Cu 0.6667 0.3333 0.2358
Ag 0.6667 0.3333 0.7514

---

No. 7
The following is a calculated powder diffractogram of BaY2ZnO5. It was derived from a DFT-relaxed cell (GGA-PBE, OQMD), using copper Kα.

Largest 6 diffraction maxima, by intensity, 10° ≤ 2θ ≤ 80°:
- 2θ = 29.57°, rel. 1000
- 2θ = 30.56°, rel. 910
- 2θ = 31.28°, rel. 561
- 2θ = 45.08°, rel. 367
- 2θ = 40.93°, rel. 209
- 2θ = 37.00°, rel. 208

Structural model:
Unit cell a=12.3407 b=5.7192 c=7.0828 alpha=90.00 beta=90.00 gamma=90.00
Atoms (fractional coordinates):
Ba 0.1006 0.2500 0.0782
Ba 0.3994 0.7500 0.5782
Ba 0.6006 0.2500 0.4218
Ba 0.8994 0.7500 0.9218
Y 0.0745 0.7500 0.4002
Y 0.2078 0.2500 0.6206
Y 0.2922 0.7500 0.1206
Y 0.4255 0.2500 0.9002
Y 0.5745 0.7500 0.0998
Y 0.7078 0.2500 0.8794
Y 0.7922 0.7500 0.3794
Y 0.9255 0.2500 0.5998
Zn 0.1505 0.7500 0.8090
Zn 0.3495 0.2500 0.3090
Zn 0.6505 0.7500 0.6910
Zn 0.8495 0.2500 0.1910
O 0.0651 0.5023 0.6663
O 0.0651 0.9977 0.6663
O 0.1001 0.7500 0.0757
O 0.2245 0.0010 0.3593
O 0.2245 0.4990 0.3593
O 0.2755 0.5010 0.8593
O 0.2755 0.9990 0.8593
O 0.3999 0.2500 0.5757
O 0.4349 0.0023 0.1663
O 0.4349 0.4977 0.1663
O 0.5651 0.5023 0.8337
O 0.5651 0.9977 0.8337
O 0.6001 0.7500 0.4243
O 0.7245 0.0010 0.1407
O 0.7245 0.4990 0.1407
O 0.7755 0.5010 0.6407
O 0.7755 0.9990 0.6407
O 0.8999 0.2500 0.9243
O 0.9349 0.0023 0.3337
O 0.9349 0.4977 0.3337

---

No. 8
The following is a calculated powder diffractogram of KAg3WSe4. It was derived from a DFT-relaxed cell (GGA-PBE, OQMD), using copper Kα.

Largest 6 diffraction maxima, by intensity, 10° ≤ 2θ ≤ 80°:
- 2θ = 39.27°, rel. 1000
- 2θ = 13.65°, rel. 939
- 2θ = 23.75°, rel. 479
- 2θ = 71.18°, rel. 271
- 2θ = 50.72°, rel. 239
- 2θ = 41.76°, rel. 238

Structural model:
Unit cell a=6.4893 b=6.4893 c=6.4893 alpha=90.00 beta=90.00 gamma=90.00
Atoms (fractional coordinates):
K 0.0000 0.0000 0.0000
Ag 0.0000 0.5000 0.5000
Ag 0.5000 0.0000 0.5000
Ag 0.5000 0.5000 0.0000
W 0.5000 0.5000 0.5000
Se 0.2808 0.2808 0.2808
Se 0.2808 0.7192 0.7192
Se 0.7192 0.2808 0.7192
Se 0.7192 0.7192 0.2808